# NiPbS2O8
Computed powder XRD pattern, Cu Ka. Input: the PBE+U geometry in Alexandria.
No peak broadening, texture or thermal motion is included.

Crystal structure
```
data_NiPbS2O8
_chemical_formula_sum 'Ni2 Pb2 S4 O16'
_cell_length_a 8.280
_cell_length_b 5.239
_cell_length_c 7.525
_cell_angle_alpha 90.00
_cell_angle_beta 93.13
_cell_angle_gamma 90.00
_space_group_name_H-M_alt 'C 1 2/m 1'
_space_group_IT_number 12
loop_
_space_group_symop_operation_xyz
'x,y,z'
'-x,-y,-z'
'-x,y,-z'
'x,-y,z'
'x+1/2,y+1/2,z'
'-x+1/2,-y+1/2,-z'
'-x+1/2,y+1/2,-z'
'x+1/2,-y+1/2,z'
loop_
_atom_site_label
_atom_site_fract_x
_atom_site_fract_y
_atom_site_fract_z
Ni1 0.000 0.000 0.000
Pb1 0.000 0.000 0.500
S1 0.136 0.500 0.783
O1 0.030 0.267 0.796
O2 0.199 0.500 0.601
O3 0.240 0.000 0.072
```

Peak list (12 most intense, 2θ from 15° to 90°, low angle first)
Position (°2θ), intensity, index
20.06, 92, 1 1 0
21.50, 64, 2 0 0
23.64, 100, 1 1 1
24.00, 39, 2 0 -1
30.77, 85, 1 1 -2
31.69, 63, 1 1 2
34.23, 33, 0 2 0
36.85, 55, 3 1 0
42.03, 34, 0 2 2
43.24, 27, 2 0 3
47.05, 22, 2 2 -2
52.38, 22, 2 0 -4